The following is a simulated XRD peak list of Tb7Pm4Pr2. It was derived from a crystal structure in Alexandria, relaxed with PBE, using Cu Kα X-rays.

Cell and atoms:
```
data_Tb7Pm4Pr2
_chemical_formula_sum 'Tb7 Pm4 Pr2'
_symmetry_space_group_name_H-M 'P 1'
_symmetry_Int_Tables_number 1
_cell_length_a 6.159
_cell_length_b 6.159
_cell_length_c 13.473
_cell_angle_alpha 90.00
_cell_angle_beta 90.00
_cell_angle_gamma 120.00
loop_
_symmetry_equiv_pos_as_xyz
'x,y,z'
loop_
_atom_site_label
_atom_site_type_symbol
_atom_site_fract_x
_atom_site_fract_y
_atom_site_fract_z
Tb1 Tb 0.000 0.000 0.000
Tb2 Tb 0.000 0.356 0.216
Tb3 Tb 0.000 0.644 0.784
Tb4 Tb 0.356 0.000 0.216
Tb5 Tb 0.356 0.356 0.784
Tb6 Tb 0.644 0.000 0.784
Tb7 Tb 0.644 0.644 0.216
Pm1 Pm 0.000 0.000 0.393
Pm2 Pm 0.000 0.000 0.607
Pm3 Pm 0.333 0.667 0.500
Pm4 Pm 0.667 0.333 0.500
Pr1 Pr 0.333 0.667 0.000
Pr2 Pr 0.667 0.333 0.000
```

Most intense lines, 10 to 90 degrees two-theta, in order of rising 2θ:
d_spacing  I_rel
3.368  20
3.002  48
2.801  100
2.695  15
2.540  34
1.814  19
1.778  30
1.501  17

The following is a simulated XRD peak list of Tb6Pm4Pr. It was derived from a crystal structure in Alexandria, relaxed with PBE, using Cu Kα X-rays.

Cell and atoms:
```
data_Tb6Pm4Pr
_chemical_formula_sum 'Tb6 Pm4 Pr1'
_symmetry_space_group_name_H-M 'P 1'
_symmetry_Int_Tables_number 1
_cell_length_a 11.071
_cell_length_b 11.071
_cell_length_c 3.550
_cell_angle_alpha 90.00
_cell_angle_beta 90.00
_cell_angle_gamma 120.00
loop_
_symmetry_equiv_pos_as_xyz
'x,y,z'
loop_
_atom_site_label
_atom_site_type_symbol
_atom_site_fract_x
_atom_site_fract_y
_atom_site_fract_z
Tb1 Tb 0.006 0.503 0.000
Tb2 Tb 0.170 0.341 0.500
Tb3 Tb 0.170 0.830 0.500
Tb4 Tb 0.497 0.503 0.000
Tb5 Tb 0.497 0.994 0.000
Tb6 Tb 0.659 0.830 0.500
Pm1 Pm 0.333 0.667 0.000
Pm2 Pm 0.392 0.196 0.500
Pm3 Pm 0.804 0.196 0.500
Pm4 Pm 0.804 0.608 0.500
Pr1 Pr 0.000 0.000 0.000
```

Most intense lines, 10 to 90 degrees two-theta, in order of rising 2θ:
d_spacing  I_rel
3.624  18
2.988  17
2.853  95
2.768  100
2.536  24
1.986  27
1.614  34
1.494  31

The following is a simulated XRD peak list of Tb4Pm7Pr. It was derived from a crystal structure in Alexandria, relaxed with PBE, using Cu Kα X-rays.

Cell and atoms:
```
data_Tb4Pm7Pr
_chemical_formula_sum 'Tb4 Pm7 Pr1'
_symmetry_space_group_name_H-M 'P 1'
_symmetry_Int_Tables_number 1
_cell_length_a 6.336
_cell_length_b 7.311
_cell_length_c 9.024
_cell_angle_alpha 90.01
_cell_angle_beta 103.65
_cell_angle_gamma 90.00
loop_
_symmetry_equiv_pos_as_xyz
'x,y,z'
loop_
_atom_site_label
_atom_site_type_symbol
_atom_site_fract_x
_atom_site_fract_y
_atom_site_fract_z
Tb1 Tb 0.219 0.000 0.166
Tb2 Tb 0.279 0.753 0.834
Tb3 Tb 0.721 0.247 0.166
Tb4 Tb 0.781 0.000 0.834
Pm1 Pm 0.000 0.000 0.500
Pm2 Pm 0.222 0.500 0.166
Pm3 Pm 0.280 0.248 0.835
Pm4 Pm 0.500 0.247 0.499
Pm5 Pm 0.500 0.753 0.501
Pm6 Pm 0.720 0.752 0.165
Pm7 Pm 0.778 0.500 0.834
Pr1 Pr 0.000 0.500 0.500
```

Most intense lines, 10 to 90 degrees two-theta, in order of rising 2θ:
d_spacing  I_rel
3.144  36
2.923  51
2.853  100
2.713  89
1.828  39
1.705  21
1.616  19
1.551  30

The following is a simulated XRD peak list of TbPm14Pr. It was derived from a crystal structure in Alexandria, relaxed with PBE, using Cu Kα X-rays.

Cell and atoms:
```
data_TbPm14Pr
_chemical_formula_sum 'Tb1 Pm14 Pr1'
_symmetry_space_group_name_H-M 'P 1'
_symmetry_Int_Tables_number 1
_cell_length_a 11.803
_cell_length_b 7.330
_cell_length_c 7.330
_cell_angle_alpha 59.99
_cell_angle_beta 90.00
_cell_angle_gamma 90.00
loop_
_symmetry_equiv_pos_as_xyz
'x,y,z'
loop_
_atom_site_label
_atom_site_type_symbol
_atom_site_fract_x
_atom_site_fract_y
_atom_site_fract_z
Tb1 Tb 0.000 0.000 0.000
Pm1 Pm 0.000 0.001 0.499
Pm2 Pm 0.000 0.499 0.001
Pm3 Pm 0.249 0.833 0.833
Pm4 Pm 0.250 0.332 0.833
Pm5 Pm 0.250 0.833 0.332
Pm6 Pm 0.251 0.333 0.333
Pm7 Pm 0.500 0.166 0.166
Pm8 Pm 0.500 0.166 0.667
Pm9 Pm 0.500 0.666 0.666
Pm10 Pm 0.500 0.667 0.166
Pm11 Pm 0.749 0.333 0.333
Pm12 Pm 0.750 0.332 0.833
Pm13 Pm 0.750 0.833 0.332
Pm14 Pm 0.751 0.833 0.833
Pr1 Pr 0.000 0.499 0.499
```

Most intense lines, 10 to 90 degrees two-theta, in order of rising 2θ:
d_spacing  I_rel
3.065  43
2.951  34
2.795  100
2.470  24
1.832  26
1.672  22
1.557  31
1.532  16

The following is a simulated XRD peak list of Tb3Pm7Pr. It was derived from a crystal structure in Alexandria, relaxed with PBE, using Cu Kα X-rays.

Cell and atoms:
```
data_Tb3Pm7Pr
_chemical_formula_sum 'Tb3 Pm7 Pr1'
_symmetry_space_group_name_H-M 'P 1'
_symmetry_Int_Tables_number 1
_cell_length_a 7.798
_cell_length_b 7.798
_cell_length_c 6.458
_cell_angle_alpha 94.42
_cell_angle_beta 94.42
_cell_angle_gamma 81.46
loop_
_symmetry_equiv_pos_as_xyz
'x,y,z'
loop_
_atom_site_label
_atom_site_type_symbol
_atom_site_fract_x
_atom_site_fract_y
_atom_site_fract_z
Tb1 Tb 0.000 0.000 0.000
Tb2 Tb 0.170 0.830 0.500
Tb3 Tb 0.830 0.170 0.500
Pm1 Pm 0.074 0.424 0.240
Pm2 Pm 0.235 0.235 0.711
Pm3 Pm 0.424 0.074 0.240
Pm4 Pm 0.500 0.500 0.500
Pm5 Pm 0.576 0.926 0.760
Pm6 Pm 0.765 0.765 0.289
Pm7 Pm 0.926 0.576 0.760
Pr1 Pr 0.500 0.500 0.000
```

Most intense lines, 10 to 90 degrees two-theta, in order of rising 2θ:
d_spacing  I_rel
2.943  100
2.874  60
2.705  35
2.439  41
1.813  14
1.809  14
1.754  11
1.470  28

The following is a simulated XRD peak list of Tb3Pm5Pr4. It was derived from a crystal structure in Alexandria, relaxed with PBE, using Cu Kα X-rays.

Cell and atoms:
```
data_Tb3Pm5Pr4
_chemical_formula_sum 'Tb3 Pm5 Pr4'
_symmetry_space_group_name_H-M 'P 1'
_symmetry_Int_Tables_number 1
_cell_length_a 8.754
_cell_length_b 8.754
_cell_length_c 9.491
_cell_angle_alpha 114.72
_cell_angle_beta 114.72
_cell_angle_gamma 40.34
loop_
_symmetry_equiv_pos_as_xyz
'x,y,z'
loop_
_atom_site_label
_atom_site_type_symbol
_atom_site_fract_x
_atom_site_fract_y
_atom_site_fract_z
Tb1 Tb 0.000 0.000 0.000
Tb2 Tb 0.291 0.291 0.772
Tb3 Tb 0.709 0.709 0.228
Pm1 Pm 0.074 0.074 0.701
Pm2 Pm 0.172 0.172 0.389
Pm3 Pm 0.500 0.500 0.000
Pm4 Pm 0.828 0.828 0.611
Pm5 Pm 0.926 0.926 0.299
Pr1 Pr 0.283 0.283 0.121
Pr2 Pr 0.417 0.417 0.558
Pr3 Pr 0.583 0.583 0.442
Pr4 Pr 0.717 0.717 0.879
```

Most intense lines, 10 to 90 degrees two-theta, in order of rising 2θ:
d_spacing  I_rel
3.129  35
3.097  34
3.019  100
2.933  41
2.873  46
2.805  80
2.719  62
2.104  32

The following is a simulated XRD peak list of TbPm4Pr2. It was derived from a crystal structure in Alexandria, relaxed with PBE, using Cu Kα X-rays.

Cell and atoms:
```
data_TbPm4Pr2
_chemical_formula_sum 'Tb2 Pm8 Pr4'
_symmetry_space_group_name_H-M 'P 1'
_symmetry_Int_Tables_number 1
_cell_length_a 11.646
_cell_length_b 11.646
_cell_length_c 3.680
_cell_angle_alpha 90.00
_cell_angle_beta 90.00
_cell_angle_gamma 90.04
loop_
_symmetry_equiv_pos_as_xyz
'x,y,z'
loop_
_atom_site_label
_atom_site_type_symbol
_atom_site_fract_x
_atom_site_fract_y
_atom_site_fract_z
Tb1 Tb 0.250 0.750 0.997
Tb2 Tb 0.750 0.250 0.003
Pm1 Pm 0.033 0.250 0.502
Pm2 Pm 0.250 0.033 0.498
Pm3 Pm 0.250 0.467 0.498
Pm4 Pm 0.467 0.250 0.502
Pm5 Pm 0.533 0.750 0.498
Pm6 Pm 0.750 0.533 0.502
Pm7 Pm 0.750 0.967 0.502
Pm8 Pm 0.967 0.750 0.498
Pr1 Pr 0.000 0.000 0.000
Pr2 Pr 0.000 0.500 0.000
Pr3 Pr 0.500 0.000 0.000
Pr4 Pr 0.500 0.500 0.000
```

Most intense lines, 10 to 90 degrees two-theta, in order of rising 2θ:
d_spacing  I_rel
3.683  15
3.360  12
2.912  47
2.744  100
2.059  14
1.941  15
1.647  33
1.555  14

The following is a simulated XRD peak list of Tb4PmPr. It was derived from a crystal structure in Alexandria, relaxed with PBE, using Cu Kα X-rays.

Cell and atoms:
```
data_Tb4PmPr
_chemical_formula_sum 'Tb8 Pm2 Pr2'
_symmetry_space_group_name_H-M 'P 1'
_symmetry_Int_Tables_number 1
_cell_length_a 6.965
_cell_length_b 6.965
_cell_length_c 9.784
_cell_angle_alpha 90.00
_cell_angle_beta 90.00
_cell_angle_gamma 121.65
loop_
_symmetry_equiv_pos_as_xyz
'x,y,z'
loop_
_atom_site_label
_atom_site_type_symbol
_atom_site_fract_x
_atom_site_fract_y
_atom_site_fract_z
Tb1 Tb 0.136 0.340 0.750
Tb2 Tb 0.155 0.845 0.571
Tb3 Tb 0.155 0.845 0.929
Tb4 Tb 0.340 0.136 0.250
Tb5 Tb 0.660 0.864 0.750
Tb6 Tb 0.845 0.155 0.071
Tb7 Tb 0.845 0.155 0.429
Tb8 Tb 0.864 0.660 0.250
Pm1 Pm 0.500 0.500 0.000
Pm2 Pm 0.500 0.500 0.500
Pr1 Pr 0.321 0.679 0.250
Pr2 Pr 0.679 0.321 0.750
```

Most intense lines, 10 to 90 degrees two-theta, in order of rising 2θ:
d_spacing  I_rel
3.481  18
2.904  17
2.874  23
2.858  31
2.837  100
2.789  25
1.741  15
1.633  16